Record 1
Simulated powder diffractogram
Compound: Sm2Al2SnRu5
Radiation: Cu Kα
Structure: a PBE-relaxed structure
Peak positions follow from Bragg's law for the DFT cell and can differ from measured ones.

Cell and atoms:
```
data_Sm2Al2SnRu5
_space_group_name_H-M_alt 'P 4/m b m'
_space_group_IT_number 127
_space_group_name_Hall '-P 4 2ab'
_cell_length_a 10.173
_cell_length_b 10.173
_cell_length_c 3.401
_cell_angle_alpha 90.00
_cell_angle_beta 90.00
_cell_angle_gamma 90.00
loop_
_atom_site_label
_atom_site_type_symbol
_atom_site_fract_x
_atom_site_fract_y
_atom_site_fract_z
Sm1 Sm 0.174 0.326 0.000
Al1 Al 0.125 0.625 0.000
Sn1 Sn 0.000 0.000 0.000
Ru1 Ru 0.000 0.500 0.500
Ru2 Ru 0.065 0.794 0.500
```

Principal peaks in the range 2θ from 10° to 90°, low angle first:
32.88 deg, d 2.724, I 47, hkl 2 1 1; 36.40 deg, d 2.468, I 90, hkl 4 1 0; 38.52 deg, d 2.337, I 100, hkl 3 1 1; 39.62 deg, d 2.275, I 23, hkl 4 2 0; 41.59 deg, d 2.171, I 23, hkl 3 2 1; 53.92 deg, d 1.700, I 18, hkl 0 0 2; 64.78 deg, d 1.439, I 19, hkl 5 4 1; 66.82 deg, d 1.400, I 20, hkl 4 1 2

***

Record 2
Simulated powder diffractogram
Compound: DyMgCu10
Radiation: Cu Kα
Structure: a PBE-relaxed structure
Peak positions follow from Bragg's law for the DFT cell and can differ from measured ones.

Cell and atoms:
```
data_DyMgCu10
_space_group_name_H-M_alt 'P m m m'
_space_group_IT_number 47
_space_group_name_Hall '-P 2 2'
_cell_length_a 4.082
_cell_length_b 4.968
_cell_length_c 8.596
_cell_angle_alpha 90.00
_cell_angle_beta 90.00
_cell_angle_gamma 90.00
loop_
_atom_site_label
_atom_site_type_symbol
_atom_site_fract_x
_atom_site_fract_y
_atom_site_fract_z
Dy1 Dy 0.000 0.000 0.000
Mg1 Mg 0.000 0.500 0.500
Cu1 Cu 0.000 0.000 0.342
Cu2 Cu 0.000 0.500 0.178
Cu3 Cu 0.500 0.000 0.500
Cu4 Cu 0.500 0.249 0.250
Cu5 Cu 0.500 0.500 0.000
```

Principal peaks in the range 2θ from 10° to 90°, low angle first:
10.29 deg, d 8.596, I 19, hkl 0 0 1; 30.19 deg, d 2.960, I 25, hkl 1 1 1; 36.18 deg, d 2.483, I 23, hkl 0 2 0; 42.02 deg, d 2.150, I 32, hkl 0 0 4; 42.62 deg, d 2.121, I 100, hkl 1 2 0; 44.39 deg, d 2.041, I 32, hkl 2 0 0; 47.81 deg, d 1.902, I 26, hkl 1 2 2; 69.50 deg, d 1.352, I 21, hkl 1 3 3

***

Record 3
Simulated powder diffractogram
Compound: ReTcAu4
Radiation: Cu Kα
Structure: a PBE-relaxed structure
Peak positions follow from Bragg's law for the DFT cell and can differ from measured ones.

Cell and atoms:
```
data_ReTcAu4
_space_group_name_H-M_alt 'F -4 3 m'
_space_group_IT_number 216
_space_group_name_Hall 'F -4 2 3'
_cell_length_a 7.579
_cell_length_b 7.579
_cell_length_c 7.579
_cell_angle_alpha 90.00
_cell_angle_beta 90.00
_cell_angle_gamma 90.00
loop_
_atom_site_label
_atom_site_type_symbol
_atom_site_fract_x
_atom_site_fract_y
_atom_site_fract_z
Re1 Re 0.000 0.000 0.000
Tc1 Tc 0.250 0.250 0.250
Au1 Au 0.125 0.125 0.625
```

Principal peaks in the range 2θ from 10° to 90°, low angle first:
20.29 deg, d 4.376, I 19, hkl 1 1 1; 33.44 deg, d 2.680, I 17, hkl 2 2 0; 39.43 deg, d 2.285, I 100, hkl 3 1 1; 41.26 deg, d 2.188, I 52, hkl 2 2 2; 63.81 deg, d 1.459, I 33, hkl 5 1 1; 70.26 deg, d 1.340, I 30, hkl 4 4 0; 83.67 deg, d 1.156, I 12, hkl 5 3 3; 84.87 deg, d 1.143, I 21, hkl 6 2 2

***

Record 4
Simulated powder diffractogram
Compound: FeRe
Radiation: Cu Kα
Structure: a PBE-relaxed structure
Peak positions follow from Bragg's law for the DFT cell and can differ from measured ones.

Cell and atoms:
```
data_FeRe
_space_group_name_H-M_alt 'P n m a'
_space_group_IT_number 62
_space_group_name_Hall '-P 2ac 2n'
_cell_length_a 4.605
_cell_length_b 4.207
_cell_length_c 5.249
_cell_angle_alpha 90.00
_cell_angle_beta 90.00
_cell_angle_gamma 90.00
loop_
_atom_site_label
_atom_site_type_symbol
_atom_site_fract_x
_atom_site_fract_y
_atom_site_fract_z
Fe1 Fe 0.080 0.250 0.123
Re1 Re 0.096 0.250 0.623
```

Principal peaks in the range 2θ from 10° to 90°, low angle first:
25.74 deg, d 3.462, I 27, hkl 1 0 1; 27.17 deg, d 3.283, I 35, hkl 0 1 1; 39.52 deg, d 2.280, I 31, hkl 1 0 2; 43.00 deg, d 2.103, I 41, hkl 0 2 0; 44.88 deg, d 2.020, I 61, hkl 2 1 0; 45.23 deg, d 2.005, I 100, hkl 1 1 2; 59.82 deg, d 1.546, I 18, hkl 1 2 2; 86.89 deg, d 1.121, I 21, hkl 3 2 2